Record 1
Simulated powder XRD pattern
Compound: BaPb4F10
Radiation: Cu Kα (weighted mean of Kα1 and Kα2)
Structure: DFT lattice parameters and positions (GGA-PBE)
Peak positions follow from Bragg's law for the DFT cell and can differ from measured ones.

Atomic structure:
```
data_BaPb4F10
_symmetry_space_group_name_H-M 'I 4/m m m'
_symmetry_Int_Tables_number 139
_symmetry_space_group_name_Hall '-I 4 2'
_cell_length_a 4.2804
_cell_length_b 4.2804
_cell_length_c 30.2129
_cell_angle_alpha 90.00
_cell_angle_beta 90.00
_cell_angle_gamma 90.00
loop_
_atom_site_label
_atom_site_fract_x
_atom_site_fract_y
_atom_site_fract_z
Ba1 0.0000 0.0000 0.0000
Pb1 0.0000 0.0000 0.2009
Pb2 0.0000 0.0000 0.3973
F1 0.0000 0.5000 0.0534
F2 0.0000 0.5000 0.1520
F3 0.0000 0.5000 0.2500
```

Principal peaks in the range 10° ≤ 2θ ≤ 90°, by angle:
| 2θ/deg | intensity |
| --- | --- |
| 25.5 | 100 |
| 29.5 | 32 |
| 42.3 | 57 |
| 50.0 | 49 |
| 52.4 | 10 |
| 61.2 | 6 |
| 67.5 | 20 |
| 69.4 | 9 |
| 77.3 | 18 |
| 82.9 | 12 |

Record 2
Simulated powder XRD pattern
Compound: BaSr2PbF8
Radiation: Cu Kα (weighted mean of Kα1 and Kα2)
Structure: DFT lattice parameters and positions (GGA-PBE)
Peak positions follow from Bragg's law for the DFT cell and can differ from measured ones.

Atomic structure:
```
data_BaSr2PbF8
_symmetry_space_group_name_H-M 'P m m m'
_symmetry_Int_Tables_number 47
_cell_length_a 4.2432
_cell_length_b 6.0238
_cell_length_c 8.4487
_cell_angle_alpha 90.00
_cell_angle_beta 90.00
_cell_angle_gamma 90.00
loop_
_symmetry_equiv_pos_as_xyz
'x,y,z'
'-x,-y,-z'
'-x,-y,z'
'x,y,-z'
'x,-y,-z'
'-x,y,z'
'-x,y,-z'
'x,-y,z'
loop_
_atom_site_label
_atom_site_fract_x
_atom_site_fract_y
_atom_site_fract_z
Ba1 0.0000 0.0000 0.0000
Sr1 0.5000 0.5000 0.2547
Pb1 0.0000 0.0000 0.5000
F1 0.0000 0.2608 0.2576
F2 0.5000 0.2527 0.5000
F3 0.5000 0.2668 0.0000
```

Principal peaks in the range 10° ≤ 2θ ≤ 90°, by angle:
| 2θ/deg | intensity |
| --- | --- |
| 25.7 | 100 |
| 29.7 | 8 |
| 29.8 | 16 |
| 42.6 | 55 |
| 42.8 | 11 |
| 50.3 | 16 |
| 50.5 | 16 |
| 50.6 | 16 |
| 68.0 | 10 |
| 78.0 | 10 |

Record 3
Simulated powder XRD pattern
Compound: Ba2ZnPbF
Radiation: Cu Kα (weighted mean of Kα1 and Kα2)
Structure: DFT lattice parameters and positions (GGA-PBE)
Peak positions follow from Bragg's law for the DFT cell and can differ from measured ones.

Atomic structure:
```
data_Ba2ZnPbF
_symmetry_space_group_name_H-M 'P 4/m m m'
_symmetry_Int_Tables_number 123
_symmetry_space_group_name_Hall '-P 4 2'
_cell_length_a 6.4208
_cell_length_b 6.4208
_cell_length_c 5.0222
_cell_angle_alpha 90.00
_cell_angle_beta 90.00
_cell_angle_gamma 90.00
loop_
_atom_site_label
_atom_site_fract_x
_atom_site_fract_y
_atom_site_fract_z
Ba1 0.0000 0.5000 0.0000
Zn1 0.0000 0.0000 0.0000
Pb1 0.0000 0.0000 0.5000
F1 0.5000 0.5000 0.5000
```

Principal peaks in the range 10° ≤ 2θ ≤ 90°, by angle:
| 2θ/deg | intensity |
| --- | --- |
| 13.8 | 83 |
| 26.5 | 100 |
| 27.8 | 80 |
| 31.1 | 25 |
| 35.8 | 21 |
| 39.7 | 31 |
| 45.9 | 41 |
| 48.4 | 39 |
| 54.5 | 24 |
| 76.4 | 18 |

Record 4
Simulated powder XRD pattern
Compound: BaPdF4
Radiation: Cu Kα (weighted mean of Kα1 and Kα2)
Structure: DFT lattice parameters and positions (GGA-PBE)
Peak positions follow from Bragg's law for the DFT cell and can differ from measured ones.

Atomic structure:
```
data_BaPdF4
_symmetry_space_group_name_H-M 'F d d d'
_symmetry_Int_Tables_number 70
_cell_length_a 7.5086
_cell_length_b 9.5873
_cell_length_c 12.0685
_cell_angle_alpha 90.00
_cell_angle_beta 90.00
_cell_angle_gamma 90.00
loop_
_symmetry_equiv_pos_as_xyz
'x,y,z'
'-x,-y,-z'
'-x+1/4,-y+1/4,z'
'x+1/4,y+1/4,-z'
'x,-y+1/4,-z+1/4'
'-x,y+1/4,z+1/4'
'-x+1/4,y,-z+1/4'
'x+1/4,-y,z+1/4'
'x,y+1/2,z+1/2'
'-x,-y+1/2,-z+1/2'
'-x+1/4,-y+3/4,z+1/2'
'x+1/4,y+3/4,-z+1/2'
'x,-y+3/4,-z+3/4'
'-x,y+3/4,z+3/4'
'-x+1/4,y+1/2,-z+3/4'
'x+1/4,-y+1/2,z+3/4'
'x+1/2,y,z+1/2'
'-x+1/2,-y,-z+1/2'
'-x+3/4,-y+1/4,z+1/2'
'x+3/4,y+1/4,-z+1/2'
'x+1/2,-y+1/4,-z+3/4'
'-x+1/2,y+1/4,z+3/4'
'-x+3/4,y,-z+3/4'
'x+3/4,-y,z+3/4'
'x+1/2,y+1/2,z'
'-x+1/2,-y+1/2,-z'
'-x+3/4,-y+3/4,z'
'x+3/4,y+3/4,-z'
'x+1/2,-y+3/4,-z+1/4'
'-x+1/2,y+3/4,z+1/4'
'-x+3/4,y+1/2,-z+1/4'
'x+3/4,-y+1/2,z+1/4'
loop_
_atom_site_label
_atom_site_fract_x
_atom_site_fract_y
_atom_site_fract_z
Ba1 0.1250 0.1250 0.1250
Pd1 0.1250 0.1250 0.6250
F1 0.0708 0.3517 0.9905
```

Principal peaks in the range 10° ≤ 2θ ≤ 90°, by angle:
| 2θ/deg | intensity |
| --- | --- |
| 23.7 | 100 |
| 28.0 | 57 |
| 30.2 | 28 |
| 37.5 | 22 |
| 42.8 | 57 |
| 47.5 | 27 |
| 48.5 | 15 |
| 51.5 | 13 |
| 54.7 | 19 |
| 65.5 | 12 |

What did the fourth record say?
Simulated powder XRD pattern
Compound: BaPdF4
Radiation: Cu Kα (weighted mean of Kα1 and Kα2)
Structure: DFT lattice parameters and positions (GGA-PBE)
Peak positions follow from Bragg's law for the DFT cell and can differ from measured ones.

Atomic structure:
```
data_BaPdF4
_symmetry_space_group_name_H-M 'F d d d'
_symmetry_Int_Tables_number 70
_cell_length_a 7.5086
_cell_length_b 9.5873
_cell_length_c 12.0685
_cell_angle_alpha 90.00
_cell_angle_beta 90.00
_cell_angle_gamma 90.00
loop_
_symmetry_equiv_pos_as_xyz
'x,y,z'
'-x,-y,-z'
'-x+1/4,-y+1/4,z'
'x+1/4,y+1/4,-z'
'x,-y+1/4,-z+1/4'
'-x,y+1/4,z+1/4'
'-x+1/4,y,-z+1/4'
'x+1/4,-y,z+1/4'
'x,y+1/2,z+1/2'
'-x,-y+1/2,-z+1/2'
'-x+1/4,-y+3/4,z+1/2'
'x+1/4,y+3/4,-z+1/2'
'x,-y+3/4,-z+3/4'
'-x,y+3/4,z+3/4'
'-x+1/4,y+1/2,-z+3/4'
'x+1/4,-y+1/2,z+3/4'
'x+1/2,y,z+1/2'
'-x+1/2,-y,-z+1/2'
'-x+3/4,-y+1/4,z+1/2'
'x+3/4,y+1/4,-z+1/2'
'x+1/2,-y+1/4,-z+3/4'
'-x+1/2,y+1/4,z+3/4'
'-x+3/4,y,-z+3/4'
'x+3/4,-y,z+3/4'
'x+1/2,y+1/2,z'
'-x+1/2,-y+1/2,-z'
'-x+3/4,-y+3/4,z'
'x+3/4,y+3/4,-z'
'x+1/2,-y+3/4,-z+1/4'
'-x+1/2,y+3/4,z+1/4'
'-x+3/4,y+1/2,-z+1/4'
'x+3/4,-y+1/2,z+1/4'
loop_
_atom_site_label
_atom_site_fract_x
_atom_site_fract_y
_atom_site_fract_z
Ba1 0.1250 0.1250 0.1250
Pd1 0.1250 0.1250 0.6250
F1 0.0708 0.3517 0.9905
```

Principal peaks in the range 10° ≤ 2θ ≤ 90°, by angle:
| 2θ/deg | intensity |
| --- | --- |
| 23.7 | 100 |
| 28.0 | 57 |
| 30.2 | 28 |
| 37.5 | 22 |
| 42.8 | 57 |
| 47.5 | 27 |
| 48.5 | 15 |
| 51.5 | 13 |
| 54.7 | 19 |
| 65.5 | 12 |

Please write out number 4 again, unchanged.
Simulated powder XRD pattern
Compound: BaPdF4
Radiation: Cu Kα (weighted mean of Kα1 and Kα2)
Structure: DFT lattice parameters and positions (GGA-PBE)
Peak positions follow from Bragg's law for the DFT cell and can differ from measured ones.

Atomic structure:
```
data_BaPdF4
_symmetry_space_group_name_H-M 'F d d d'
_symmetry_Int_Tables_number 70
_cell_length_a 7.5086
_cell_length_b 9.5873
_cell_length_c 12.0685
_cell_angle_alpha 90.00
_cell_angle_beta 90.00
_cell_angle_gamma 90.00
loop_
_symmetry_equiv_pos_as_xyz
'x,y,z'
'-x,-y,-z'
'-x+1/4,-y+1/4,z'
'x+1/4,y+1/4,-z'
'x,-y+1/4,-z+1/4'
'-x,y+1/4,z+1/4'
'-x+1/4,y,-z+1/4'
'x+1/4,-y,z+1/4'
'x,y+1/2,z+1/2'
'-x,-y+1/2,-z+1/2'
'-x+1/4,-y+3/4,z+1/2'
'x+1/4,y+3/4,-z+1/2'
'x,-y+3/4,-z+3/4'
'-x,y+3/4,z+3/4'
'-x+1/4,y+1/2,-z+3/4'
'x+1/4,-y+1/2,z+3/4'
'x+1/2,y,z+1/2'
'-x+1/2,-y,-z+1/2'
'-x+3/4,-y+1/4,z+1/2'
'x+3/4,y+1/4,-z+1/2'
'x+1/2,-y+1/4,-z+3/4'
'-x+1/2,y+1/4,z+3/4'
'-x+3/4,y,-z+3/4'
'x+3/4,-y,z+3/4'
'x+1/2,y+1/2,z'
'-x+1/2,-y+1/2,-z'
'-x+3/4,-y+3/4,z'
'x+3/4,y+3/4,-z'
'x+1/2,-y+3/4,-z+1/4'
'-x+1/2,y+3/4,z+1/4'
'-x+3/4,y+1/2,-z+1/4'
'x+3/4,-y+1/2,z+1/4'
loop_
_atom_site_label
_atom_site_fract_x
_atom_site_fract_y
_atom_site_fract_z
Ba1 0.1250 0.1250 0.1250
Pd1 0.1250 0.1250 0.6250
F1 0.0708 0.3517 0.9905
```

Principal peaks in the range 10° ≤ 2θ ≤ 90°, by angle:
| 2θ/deg | intensity |
| --- | --- |
| 23.7 | 100 |
| 28.0 | 57 |
| 30.2 | 28 |
| 37.5 | 22 |
| 42.8 | 57 |
| 47.5 | 27 |
| 48.5 | 15 |
| 51.5 | 13 |
| 54.7 | 19 |
| 65.5 | 12 |